Diffraction record for SrMgAl4Pd2. The powder diffractogram is computed, not measured: it uses a GGA-PBE-relaxed structure and λ = 1.5418 Å (Cu Kα).
Lines closer than 0.1° are merged.

Most intense lines, 15 to 90 degrees two-theta, most intense first:
| d_spacing | I_rel |
| --- | --- |
| 2.461 | 100 |
| 3.463 | 68 |
| 2.680 | 62 |
| 3.664 | 52 |
| 4.947 | 46 |
| 2.344 | 46 |
| 2.075 | 42 |
| 2.141 | 38 |
| 1.784 | 29 |
| 1.581 | 27 |

Crystal structure
```
data_SrMgAl4Pd2
_chemical_formula_sum 'Sr1 Mg1 Al4 Pd2'
_cell_length_a 7.329
_cell_length_b 5.390
_cell_length_c 5.390
_cell_angle_alpha 46.80
_cell_angle_beta 90.00
_cell_angle_gamma 90.00
_space_group_name_H-M_alt 'P 1'
_space_group_IT_number 1
_space_group_name_Hall 'P 1'
loop_
_atom_site_label
_atom_site_type_symbol
_atom_site_fract_x
_atom_site_fract_y
_atom_site_fract_z
_atom_site_occupancy
Sr1 Sr 0.000 0.000 0.000 1
Mg1 Mg 0.500 0.873 0.873 1
Al1 Al 0.209 0.291 0.291 1
Al2 Al 0.314 0.591 0.591 1
Al3 Al 0.686 0.591 0.591 1
Al4 Al 0.791 0.291 0.291 1
Pd1 Pd 0.000 0.718 0.718 1
Pd2 Pd 0.500 0.149 0.149 1
```